Entry 1:
Starting from a cell relaxed with PBE, the X-ray diffraction stick pattern of Th3NpIn12 was calculated for CuKα.

Structural model:
Cell: 4.7181 4.7181 18.8505 Å, 90.00 90.00 90.00°
Space group P4/mmm (No. 123)
Inequivalent atoms, fractional coordinates:
Th 0.0000 0.0000 0.0000 x1
Th 0.0000 0.0000 0.2523 x2
Np 0.0000 0.0000 0.5000 x1
In 0.0000 0.5000 0.1264 x4
In 0.0000 0.5000 0.3798 x4
In 0.5000 0.5000 0.0000 x1
In 0.5000 0.5000 0.2531 x2
In 0.5000 0.5000 0.5000 x1

Main lines, in order of rising 2θ (2θ = 10–90°):
2θ/deg	I/Imax	(hkl)
18.8	9.8	0 0 4
26.7	8.7	1 1 0
32.9	100.0	1 1 4
38.2	50.0	2 0 0
42.9	5.3	2 0 4
55.1	34.0	2 2 0
65.7	39.7	3 1 4
69.0	11.4	2 2 8

Entry 2:
Starting from a cell relaxed with PBE, the X-ray diffraction stick pattern of TlHg5 was calculated for CuKα.

Structural model:
Cell: 5.6111 3.7379 16.2721 Å, 90.00 90.00 90.00°
Space group Amm2 (No. 38)
Inequivalent atoms, fractional coordinates:
Tl 0.0000 0.0000 0.0000 x2
Hg 0.0000 0.0000 0.3302 x2
Hg 0.0000 0.0000 0.6700 x2
Hg 0.5000 0.0000 0.1197 x2
Hg 0.5000 0.0000 0.4484 x2
Hg 0.5000 0.0000 0.7828 x2

Main lines, in order of rising 2θ (2θ = 10–90°):
2θ/deg	I/Imax	(hkl)
29.0	18.1	0 1 3
31.9	34.9	2 0 0
33.2	100.0	1 1 3
36.8	30.9	1 0 6
56.5	13.6	0 1 9
57.7	21.2	3 1 3
62.6	13.5	1 2 6
66.4	16.8	2 1 9

Entry 3:
Starting from a cell relaxed with PBE, the X-ray diffraction stick pattern of PuPaAsS was calculated for CuKα.

Structural model:
Cell: 4.0120 4.0120 19.6718 Å, 90.00 90.00 120.00°
Space group R3m (No. 160, hexagonal axes)
Inequivalent atoms, fractional coordinates:
Pu 0.0000 0.0000 0.0000 x3
Pa 0.0000 0.0000 0.4903 x3
As 0.0000 0.0000 0.2442 x3
S 0.0000 0.0000 0.7439 x3

Main lines, in order of rising 2θ (2θ = 10–90°):
2θ/deg	I/Imax	(hkl)
27.2	70.7	0 1 2
31.5	100.0	1 0 4
45.2	74.0	1 1 0
53.6	34.5	2 0 2
56.1	25.9	0 2 4
72.6	13.9	1 2 2
74.8	32.9	2 1 4
83.4	24.9	3 0 0